# 1
Tl11Bi4: calculated PXRD pattern (a wavelength of 1.5418 Å), based on the PBE geometry in Alexandria.
Neutral-atom scattering factors, no anomalous dispersion.

Atomic structure:
```
30
Lattice="12.1134 0.0000 0.0000 0.0000 12.1134 0.0000 0.0000 0.0000 6.5310" Properties=species:S:1:pos:R:3 pbc="T T T"
Tl 0.0000 0.0000 0.0000
Tl 0.8151 3.2770 0.0000
Tl 1.1959 1.1959 3.2655
Tl 2.2148 9.8987 1.6313
Tl 2.2148 9.8987 4.8997
Tl 2.7797 6.8718 3.2655
Tl 3.2770 0.8151 0.0000
Tl 3.8420 3.8420 1.6342
Tl 3.8420 3.8420 4.8968
Tl 4.8608 7.2527 0.0000
Tl 5.2416 9.3337 3.2655
Tl 6.0567 6.0567 3.2655
Tl 6.8718 2.7797 3.2655
Tl 7.2527 4.8608 0.0000
Tl 8.2715 8.2715 1.6342
Tl 8.2715 8.2715 4.8968
Tl 8.8365 11.2983 0.0000
Tl 9.3337 5.2416 3.2655
Tl 9.8987 2.2148 1.6313
Tl 9.8987 2.2148 4.8997
Tl 10.9175 10.9175 3.2655
Tl 11.2983 8.8365 0.0000
Bi 0.5526 4.4300 3.2655
Bi 1.6267 6.6093 0.0000
Bi 4.4300 0.5526 3.2655
Bi 5.5041 10.4867 0.0000
Bi 6.6093 1.6267 0.0000
Bi 7.6834 11.5608 3.2655
Bi 10.4867 5.5041 0.0000
Bi 11.5608 7.6834 3.2655
```

Top 8 peaks for 15 to 90 degrees two-theta, in order of falling intensity:
two_theta	intensity
30.43	100
33.44	94
32.00	74
34.28	55
31.33	38
31.12	37
65.39	29
52.30	27

=====

# 2
YBeSi2Pt: calculated PXRD pattern (a wavelength of 1.5418 Å), based on the PBE geometry in Alexandria.
Neutral-atom scattering factors, no anomalous dispersion.

Atomic structure:
```
5
Lattice="-1.9714 1.9714 5.1189 1.9714 -1.9714 5.1189 1.9714 1.9714 -5.1189" Properties=species:S:1:pos:R:3 pbc="T T T"
Y 0.0000 0.0000 0.0000
Be 0.0000 1.9714 2.5594
Si 0.0000 0.0000 3.9397
Si 0.0000 0.0000 6.2980
Pt 1.9714 0.0000 2.5594
```

Top 8 peaks for 15 to 90 degrees two-theta, in order of falling intensity:
two_theta	intensity
24.19	100
36.71	83
34.77	54
46.04	30
52.67	25
58.96	24
50.21	21
79.05	18

=====

# 3
Tb2SmHo9: calculated PXRD pattern (a wavelength of 1.5418 Å), based on the PBE geometry in Alexandria.
Neutral-atom scattering factors, no anomalous dispersion.

Atomic structure:
```
12
Lattice="5.0038 0.0000 0.0000 0.0000 5.0038 0.0000 0.0000 0.0000 15.0088" Properties=species:S:1:pos:R:3 pbc="T T T"
Tb 0.0000 0.0000 2.4944
Tb 0.0000 0.0000 12.5144
Sm 0.0000 0.0000 7.5044
Ho 0.0000 2.5019 0.0000
Ho 0.0000 2.5019 4.9867
Ho 0.0000 2.5019 10.0222
Ho 2.5019 0.0000 0.0000
Ho 2.5019 0.0000 4.9867
Ho 2.5019 0.0000 10.0222
Ho 2.5019 2.5019 2.4898
Ho 2.5019 2.5019 7.5044
Ho 2.5019 2.5019 12.5190
```

Top 8 peaks for 15 to 90 degrees two-theta, in order of falling intensity:
two_theta	intensity
30.96	100
35.90	51
61.46	43
51.67	36
84.38	18
87.11	17
64.52	12
76.09	6

=====

# 4
Sm3GeI3: calculated PXRD pattern (a wavelength of 1.5418 Å), based on the PBE geometry in Alexandria.
Neutral-atom scattering factors, no anomalous dispersion.

Atomic structure:
```
14
Lattice="9.0342 0.0000 0.0000 0.0000 4.3168 0.0000 -0.0888 0.0000 12.4255" Properties=species:S:1:pos:R:3 pbc="T T T"
Sm 0.8669 1.0792 4.7758
Sm 0.9933 1.0792 10.4822
Sm 2.8824 3.2376 7.7232
Sm 6.0630 1.0792 4.7023
Sm 7.9522 3.2376 1.9432
Sm 8.0785 3.2376 7.6497
Ge 1.0105 1.0792 7.6838
Ge 7.9350 3.2376 4.7417
I 1.2274 1.0792 1.4821
I 3.2747 3.2376 10.8758
I 3.4333 3.2376 4.5518
I 5.5121 1.0792 7.8736
I 5.6707 1.0792 1.5497
I 7.7181 3.2376 10.9434
```

Top 8 peaks for 15 to 90 degrees two-theta, in order of falling intensity:
two_theta	intensity
28.60	100
28.74	48
40.89	33
41.10	33
41.86	20
51.56	19
39.92	16
27.02	12

=====

# 5
TbEr2Th: calculated PXRD pattern (a wavelength of 1.5418 Å), based on the PBE geometry in Alexandria.
Neutral-atom scattering factors, no anomalous dispersion.

Atomic structure:
```
4
Lattice="3.0871 -1.7866 0.0000 3.0871 1.7866 0.0000 -0.0011 0.0000 11.3386" Properties=species:S:1:pos:R:3 pbc="T T T"
Tb 0.0000 0.0000 0.0000
Er 2.0608 0.0000 8.4589
Er 4.1123 0.0000 2.8797
Th -0.0006 0.0000 5.6693
```

Top 8 peaks for 15 to 90 degrees two-theta, in order of falling intensity:
two_theta	intensity
33.01	100
29.97	37
31.56	32
61.39	29
51.19	25
57.13	21
37.59	21
87.99	11

=====

# 6
HfZr4Sc8: calculated PXRD pattern (a wavelength of 1.5418 Å), based on the PBE geometry in Alexandria.
Neutral-atom scattering factors, no anomalous dispersion.

Atomic structure:
```
13
Lattice="6.4133 0.0000 0.0000 -0.0039 6.7693 0.0000 -1.3285 -0.0062 7.4256" Properties=species:S:1:pos:R:3 pbc="T T T"
Hf 0.0000 0.0000 0.0000
Zr -0.6643 -0.0031 3.7128
Zr -0.6662 3.3816 3.7128
Zr 2.5424 -0.0031 3.7128
Zr 2.5404 3.3816 3.7128
Sc 0.9407 1.9033 1.6498
Sc 0.9397 4.8617 1.6475
Sc 0.9422 1.7175 5.9643
Sc 0.9427 5.0497 5.9642
Sc 4.1382 1.7135 1.4614
Sc 4.1386 5.0456 1.4613
Sc 4.1412 1.9015 5.7781
Sc 4.1402 4.8599 5.7758
```

Top 8 peaks for 15 to 90 degrees two-theta, in order of falling intensity:
two_theta	intensity
35.90	100
39.02	75
33.88	66
23.97	27
49.08	27
59.77	23
32.72	23
17.73	23